# Sm2Dy3Ho9
Computed X-ray diffraction stick pattern, Cu Ka. Input: the GGA-PBE geometry in Alexandria.
No peak broadening, texture or thermal motion is included.

Largest 10 diffraction maxima, low angle first, 10 to 90 degrees two-theta:
2theta	I/Imax
30.29	45.4
31.51	47.4
31.76	80.4
32.01	73.6
32.42	45.8
32.57	100.0
32.71	20.9
33.37	27.7
47.34	19.1
63.70	20.7

abc: 6.401 8.365 8.855
angles: 87.23 82.83 70.97
Fractional coordinates of all 14 atoms:
Sm 0.000 0.000 0.000
Sm 0.143 0.646 0.197
Dy 0.460 0.045 0.788
Dy 0.621 0.351 0.159
Dy 0.788 0.554 0.448
Ho 0.066 0.398 0.938
Ho 0.182 0.186 0.275
Ho 0.304 0.835 0.492
Ho 0.336 0.400 0.538
Ho 0.493 0.592 0.822
Ho 0.597 0.791 0.116
Ho 0.747 0.992 0.406
Ho 0.911 0.202 0.661
Ho 0.940 0.749 0.738

---

# Rb2UF6
Computed X-ray diffraction stick pattern, Cu Ka. Input: the GGA-PBE geometry in Alexandria.
No peak broadening, texture or thermal motion is included.

Largest 10 diffraction maxima, low angle first, 10 to 90 degrees two-theta:
2theta	I/Imax
14.27	14.6
14.44	34.7
18.46	20.2
24.94	33.3
25.24	32.8
27.61	100.0
37.71	17.5
40.30	14.2
40.49	16.7
45.98	24.2

abc: 7.140 7.140 7.590
angles: 90.00 90.00 120.77
Fractional coordinates of all 18 atoms:
Rb 0.158 0.842 0.502
Rb 0.158 0.842 0.998
Rb 0.842 0.158 0.002
Rb 0.842 0.158 0.498
U 0.449 0.551 0.750
U 0.551 0.449 0.250
F 0.108 0.506 0.750
F 0.197 0.214 0.250
F 0.214 0.197 0.750
F 0.400 0.600 0.043
F 0.400 0.600 0.457
F 0.494 0.892 0.750
F 0.506 0.108 0.250
F 0.600 0.400 0.543
F 0.600 0.400 0.957
F 0.786 0.803 0.250
F 0.803 0.786 0.750
F 0.892 0.494 0.250

---

# ErBe6Co2
Computed X-ray diffraction stick pattern, Cu Ka. Input: the GGA-PBE geometry in Alexandria.
No peak broadening, texture or thermal motion is included.

Largest 10 diffraction maxima, low angle first, 10 to 90 degrees two-theta:
2theta	I/Imax
19.02	41.5
26.53	100.0
30.32	47.2
32.54	77.1
34.96	56.7
36.04	23.2
40.72	79.9
49.02	61.9
61.55	23.8
67.52	22.9

abc: 5.806 5.806 5.806
angles: 143.86 118.98 73.02
Fractional coordinates of all 9 atoms:
Er 0.000 0.000 0.000
Be 0.090 0.285 0.805
Be 0.341 0.500 0.841
Be 0.480 0.285 0.195
Be 0.520 0.715 0.805
Be 0.659 0.500 0.159
Be 0.910 0.715 0.195
Co 0.368 0.868 0.500
Co 0.632 0.132 0.500

---

Q: Number 3 is which compound?
A: ErBe6Co2